The following is a computed XRD peak list of KTb2CuMo4O16. It was derived from a crystal structure in Alexandria, relaxed with GGA+U, using λ = 1.5418 Å (Cu Kα).
Lines closer than 0.1° are merged.

Structural model:
abc: 5.3170 12.7697 19.9009
angles: 90.00 94.70 90.00
Space group C2/c (No. 15)
Unique sites:
K (0.0000, 0.0309, 0.2500) [4 per cell]
Tb (0.0006, 0.1465, 0.4690) [8 per cell]
Cu (0.0000, 0.3122, 0.2500) [4 per cell]
Mo (0.0180, 0.2554, 0.6448) [8 per cell]
Mo (0.0258, 0.4377, 0.0917) [8 per cell]
O (0.0882, 0.4096, 0.3285) [8 per cell]
O (0.1126, 0.1338, 0.8333) [8 per cell]
O (0.1643, 0.3326, 0.0402) [8 per cell]
O (0.1878, 0.2385, 0.5666) [8 per cell]
O (0.2289, 0.4503, 0.5995) [8 per cell]
O (0.2348, 0.2935, 0.7137) [8 per cell]
O (0.2394, 0.0207, 0.5389) [8 per cell]
O (0.2443, 0.3452, 0.8705) [8 per cell]

The 10 most intense peaks (5 to 70 degrees two-theta), sorted by position:
2θ 8.9, I 86, hkl 0 0 2
2θ 24.6, I 21, hkl 1 1 -4
2θ 26.5, I 30, hkl 1 1 4
2θ 27.5, I 26, hkl 1 3 1
2θ 27.9, I 100, hkl 1 1 -5
2θ 28.8, I 29, hkl 1 3 2
2θ 29.5, I 41, hkl 1 3 -3
2θ 30.1, I 44, hkl 1 1 5
2θ 31.1, I 19, hkl 0 4 3
2θ 33.8, I 35, hkl 2 0 0